Structure and simulated powder diffractogram of BaLaCrMoO6 (the PBE+U geometry in Alexandria; Cu Kα).
Intensities are scaled so that the largest is 100.

Peak list (12 most intense, 5 to 70 degrees two-theta, low angle first)
Position (°2θ)	I/Imax
18.99	2.6
21.96	4.8
31.25	100.0
36.82	1.8
38.52	11.6
44.78	31.9
49.05	0.9
50.41	2.9
55.62	38.7
65.19	19.1
68.58	0.6
69.69	1.6

Structural model:
a = 5.7245 Å, b = 5.7245 Å, c = 5.7245 Å
α = 60.00°, β = 60.00°, γ = 60.00°
Element x y z (fractional)
Ba (0.0000, 0.0000, 0.0000)
La (0.5000, 0.5000, 0.5000)
Cr (0.2500, 0.2500, 0.2500)
Mo (0.7500, 0.7500, 0.7500)
O (0.0035, 0.0035, 0.4965)
O (0.0035, 0.4965, 0.0035)
O (0.0035, 0.4965, 0.4965)
O (0.4965, 0.0035, 0.0035)
O (0.4965, 0.0035, 0.4965)
O (0.4965, 0.4965, 0.0035)